# 1
Calculated powder X-ray diffraction pattern of EuTlO2 for Cu Kα, from a DFT-relaxed cell (GGA-PBE, the Materials Project).
Peak positions follow from Bragg's law for the DFT cell and can differ from measured ones.

Structural model:
Cell lengths 3.5901, 3.5901, 19.4725 Å; angles 90.00, 90.00, 120.00 degrees
Space group R-3m (No. 166, hexagonal axes)
One atom of each set of equivalent atoms:
Eu: 0.0000 0.0000 0.0000
Tl: 0.0000 0.0000 0.5000
O: 0.0000 0.0000 0.2750

Main lines, low angle first (10° ≤ 2θ ≤ 80°):
Position (°2θ), I_rel
27.48, 45
30.17, 98
34.22, 100
47.44, 37
50.87, 33
58.78, 34


# 2
Calculated powder X-ray diffraction pattern of AlPO6 for Cu Kα, from a DFT-relaxed cell (GGA-PBE, the Materials Project).
Peak positions follow from Bragg's law for the DFT cell and can differ from measured ones.

Structural model:
Cell lengths 5.3109, 9.6358, 10.1075 Å; angles 90.00, 121.65, 90.00 degrees
Space group P2_1/c (No. 14)
One atom of each set of equivalent atoms:
Al: 0.2369 0.1886 0.3106
P: 0.4047 0.6467 0.8149
O: 0.0227 0.6161 0.3918
O: 0.0416 0.5518 0.1917
O: 0.0755 0.6889 0.7387
O: 0.4159 0.2065 0.5199
O: 0.4184 0.0147 0.3213
O: 0.4731 0.1981 0.7827

Main lines, low angle first (10° ≤ 2θ ≤ 80°):
Position (°2θ), I_rel
18.42, 29
19.08, 77
19.65, 29
20.65, 100
24.95, 48
32.58, 63


# 3
Calculated powder X-ray diffraction pattern of Cr3Mo for Cu Kα, from a DFT-relaxed cell (GGA-PBE, the Materials Project).
Peak positions follow from Bragg's law for the DFT cell and can differ from measured ones.

Structural model:
Cell lengths 2.9719, 4.2057, 8.1982 Å; angles 90.00, 90.00, 90.00 degrees
Space group Cmmm (No. 65)
One atom of each set of equivalent atoms:
Cr: 0.0000 0.0000 0.0000
Cr: 0.0000 0.5000 0.2352
Mo: 0.0000 0.0000 0.5000

Main lines, low angle first (10° ≤ 2θ ≤ 80°):
Position (°2θ), I_rel
10.79, 12
43.01, 26
43.32, 100
44.19, 23
63.37, 14
79.05, 15


# 4
Calculated powder X-ray diffraction pattern of Bi3P3O13 for Cu Kα, from a DFT-relaxed cell (GGA-PBE, the Materials Project).
Peak positions follow from Bragg's law for the DFT cell and can differ from measured ones.

Structural model:
Cell lengths 8.1081, 7.0580, 11.4947 Å; angles 90.00, 95.43, 90.00 degrees
Space group P2_1/m (No. 11)
One atom of each set of equivalent atoms:
Bi: 0.0000 0.0000 0.0000
Bi: 0.2100 0.2500 0.5495
Bi: 0.3585 0.7500 0.2110
P: 0.2197 0.7500 0.4888
P: 0.2503 0.2500 0.2289
P: 0.3156 0.2500 0.8786
O: 0.0527 0.7500 0.4075
O: 0.0933 0.2500 0.1309
O: 0.1299 0.7500 0.0888
O: 0.1848 0.2500 0.3489
O: 0.2222 0.0670 0.9047
O: 0.2370 0.5724 0.5661
O: 0.3530 0.2500 0.7447
O: 0.3550 0.0736 0.2051
O: 0.3663 0.7500 0.4066
O: 0.4951 0.2500 0.9416

Main lines, low angle first (10° ≤ 2θ ≤ 80°):
Position (°2θ), I_rel
14.75, 74
17.96, 48
18.14, 100
24.07, 61
26.78, 50
33.77, 50